Calculated X-ray diffraction stick pattern of LiSnP4O12 for Cu Kα, 1.54184 Å, from a DFT-relaxed cell (GGA-PBE, Alexandria).
No peak broadening, texture or thermal motion is included.

Atomic structure:
```
data_LiSnP4O12
_chemical_formula_sum 'Li4 Sn4 P16 O48'
_cell_length_a 18.3144
_cell_length_b 12.8176
_cell_length_c 5.6995
_cell_angle_alpha 90.00
_cell_angle_beta 107.84
_cell_angle_gamma 90.00
_symmetry_space_group_name_H-M 'C 1 2/m 1'
_symmetry_Int_Tables_number 12
_symmetry_space_group_name_Hall '-C 2y'
loop_
_atom_site_label
_atom_site_fract_x
_atom_site_fract_y
_atom_site_fract_z
Li1 0.1075 0.0000 0.3271
Sn1 0.2500 0.2500 0.0000
P1 0.0822 0.2266 0.5339
P2 0.1921 0.3862 0.4506
O1 0.0000 0.2805 0.5000
O2 0.0744 0.1285 0.3906
O3 0.1173 0.3159 0.3963
O4 0.1257 0.2271 0.8075
O5 0.1528 0.5000 0.4363
O6 0.2266 0.3750 0.2429
O7 0.2477 0.3689 0.7067
```

Principal peaks in the range 2θ = 10–90°, by angle:
2θ/deg, Rel. int.
10.15, 100.0
13.82, 97.4
16.36, 25.4
16.75, 14.5
21.49, 69.6
21.79, 15.9
25.89, 17.0
32.47, 38.7
33.87, 14.7
35.67, 13.1